BaV6O11: computed powder diffraction line list (CuKα), based on DFT lattice parameters and positions (PBE+U).
Peak positions follow from Bragg's law for the DFT cell and can differ from measured ones.

Largest 10 diffraction maxima, low angle first, 2θ = 10–90°:
- 2θ 26.23, I = 38.8, hkl 0 0 4
- 2θ 30.13, I = 50.1, hkl 1 1 0
- 2θ 31.57, I = 80.9, hkl 1 0 4
- 2θ 32.95, I = 100.0, hkl 1 1 2
- 2θ 37.43, I = 52.8, hkl 2 0 2
- 2θ 40.37, I = 46.1, hkl 2 0 3
- 2θ 53.97, I = 64.2, hkl 2 0 6
- 2θ 54.43, I = 39.4, hkl 2 1 4
- 2θ 62.65, I = 38.1, hkl 2 2 0
- 2θ 87.27, I = 23.0, hkl 4 0 6

Cell and atoms:
Lattice parameters (Å, degrees): 5.9316 5.9316 13.5920 90.00 90.00 120.00
Space group P6_3mc (No. 186)
Asymmetric unit:
Ba (0.3333, 0.6667, 0.0000)
V (0.0000, 0.0000, 0.1056)
V (0.0000, 0.0000, 0.3980)
V (0.0001, 0.5000, 0.2519)
V (0.3333, 0.6667, 0.5053)
O (0.1484, 0.2967, 0.5026)
O (0.1742, 0.3485, 0.1745)
O (0.1746, 0.3493, 0.8293)
O (0.3333, 0.6667, 0.3353)
O (0.3333, 0.6667, 0.6679)